RbLiNd2Mo4O16: computed powder XRD pattern (λ = 1.5418 Å (Cu Kα)), based on a crystal structure in Alexandria, relaxed with GGA+U.
Neutral-atom scattering factors, no anomalous dispersion.

Structure:
```
RbLiNd2Mo4O16
1.0
2.7001 -6.5894 0.0000
2.7001 6.5894 0.0000
-1.5801 0.0000 20.0943
Rb Li Nd Mo O
2 2 4 8 32
direct
0.0344 0.9656 0.7500
0.9656 0.0344 0.2500
0.3142 0.6858 0.7500
0.6858 0.3142 0.2500
0.1464 0.8539 0.5326
0.1461 0.8536 0.9674
0.8539 0.1464 0.0326
0.8536 0.1461 0.4674
0.2330 0.7297 0.3536
0.2703 0.7670 0.1464
0.4128 0.5383 0.9083
0.4617 0.5872 0.5917
0.5383 0.4128 0.4083
0.5872 0.4617 0.0917
0.7297 0.2330 0.8536
0.7670 0.2703 0.6464
0.0197 0.7516 0.1664
0.0542 0.4796 0.2869
0.0616 0.5826 0.4324
0.1064 0.4239 0.1323
0.1801 0.5107 0.9590
0.2238 0.2650 0.5406
0.2284 0.3184 0.4002
0.2484 0.9803 0.3336
0.2650 0.2238 0.0406
0.3184 0.2284 0.9002
0.3192 0.5064 0.6694
0.4174 0.9384 0.0676
0.4239 0.1064 0.6323
0.4796 0.0542 0.7869
0.4893 0.8199 0.5410
0.4936 0.6808 0.8306
0.5064 0.3192 0.1694
0.5107 0.1801 0.4590
0.5204 0.9458 0.2131
0.5761 0.8936 0.3677
0.5826 0.0616 0.9324
0.6808 0.4936 0.3306
0.6816 0.7716 0.0998
0.7350 0.7762 0.9594
0.7516 0.0197 0.6664
0.7716 0.6816 0.5998
0.7762 0.7350 0.4594
0.8199 0.4893 0.0410
0.8936 0.5761 0.8677
0.9384 0.4174 0.5676
0.9458 0.5204 0.7131
0.9803 0.2484 0.8336
```

Largest 10 diffraction maxima, in order of falling intensity, 15° ≤ 2θ ≤ 90°:
2θ (°), I_rel
27.5, 100
26.1, 94
26.8, 71
29.5, 65
24.2, 58
27.2, 55
33.3, 54
26.3, 46
29.9, 46
28.1, 41